No. 1
Starting from a DFT-relaxed cell (GGA-PBE, Alexandria), the powder diffraction line list of Rb2Tl12Hg was simulated for Cu Kα.

Crystal structure
a = 7.4708 Å, b = 7.4708 Å, c = 19.2021 Å
α = 90.00°, β = 90.00°, γ = 90.00°
Space group P4/nbm (No. 125, origin choice 2)
Asymmetric unit:
1 Rb 0.2500 0.7500 0.2481
2 Tl 0.0003 0.9997 0.4119
3 Tl 0.0870 0.5870 0.0657
4 Tl 0.2500 0.2500 0.1524
5 Tl 0.2500 0.2500 0.3177
6 Hg 0.2500 0.7500 0.5000

Principal peaks in the range 2θ = 15–90°, low angle first:
2theta, I/Imax
19.18, 42
25.07, 36
25.59, 64
32.68, 50
33.47, 38
33.94, 74
36.98, 100
62.72, 31


No. 2
Starting from a DFT-relaxed cell (GGA-PBE, Alexandria), the powder diffraction line list of Cd7Pd2Pt2 was simulated for Cu Kα.

Crystal structure
a = 7.7053 Å, b = 9.3188 Å, c = 6.7917 Å
α = 90.00°, β = 90.00°, γ = 90.00°
Space group Cmmm (No. 65)
Asymmetric unit:
1 Cd 0.0000 0.0000 0.0000
2 Cd 0.0000 0.5000 0.2840
3 Cd 0.2500 0.2500 0.2811
4 Pd 0.1787 0.0000 0.5000
5 Pt 0.0000 0.2882 0.0000

Principal peaks in the range 2θ = 15–90°, low angle first:
2theta, I/Imax
23.15, 36
26.60, 70
30.32, 24
35.23, 25
38.66, 53
40.35, 100
41.09, 43
47.87, 24


No. 3
Starting from a DFT-relaxed cell (GGA-PBE, Alexandria), the powder diffraction line list of EuBr was simulated for Cu Kα.

Crystal structure
a = 4.2524 Å, b = 4.2524 Å, c = 7.0122 Å
α = 90.00°, β = 90.00°, γ = 90.00°
Space group P4/nmm (No. 129, origin choice 2)
Asymmetric unit:
1 Eu 0.2500 0.2500 0.1903
2 Br 0.2500 0.2500 0.6657

Principal peaks in the range 2θ = 15–90°, low angle first:
2theta, I/Imax
24.48, 29
25.40, 31
29.71, 100
33.12, 84
39.48, 39
42.52, 37
54.92, 39
56.80, 28


No. 4
Starting from a DFT-relaxed cell (GGA-PBE, Alexandria), the powder diffraction line list of NpHgClO4 was simulated for Cu Kα.

Crystal structure
a = 8.7493 Å, b = 6.8470 Å, c = 10.1527 Å
α = 90.00°, β = 96.92°, γ = 90.00°
Space group C2/m (No. 12)
Asymmetric unit:
1 Np 0.1851 0.0000 0.2704
2 Hg 0.2121 0.5000 0.1118
3 Cl 0.0124 0.5000 0.6825
4 O 0.0324 0.0000 0.7622
5 O 0.1850 0.0000 0.4495
6 O 0.2012 0.1964 0.1268

Principal peaks in the range 2θ = 15–90°, low angle first:
2theta, I/Imax
17.60, 26
20.45, 40
23.27, 100
26.03, 49
30.30, 32
32.46, 31
35.18, 19
36.32, 28


No. 5
Starting from a DFT-relaxed cell (GGA-PBE, Alexandria), the powder diffraction line list of In2Hg8As5Br7 was simulated for Cu Kα.

Crystal structure
a = 7.9269 Å, b = 7.9269 Å, c = 14.4450 Å
α = 90.00°, β = 90.00°, γ = 120.00°
Space group P-3m1 (No. 164)
Asymmetric unit:
1 In 0.0000 0.0000 0.1789
2 Hg 0.0000 0.5000 0.0000
3 Hg 0.0000 0.5000 0.5000
4 Hg 0.3333 0.6667 0.2501
5 As 0.0000 0.0000 0.0000
6 As 0.3333 0.6667 0.0742
7 As 0.3333 0.6667 0.4268
8 Br 0.0000 0.0000 0.5000
9 Br 0.1756 0.3512 0.7604

Principal peaks in the range 2θ = 15–90°, low angle first:
2theta, I/Imax
24.65, 44
25.96, 26
26.69, 40
28.80, 100
36.10, 20
45.79, 45
46.05, 53
52.69, 34


No. 6
Starting from a DFT-relaxed cell (GGA-PBE, Alexandria), the powder diffraction line list of Tb5Er4Tl2 was simulated for Cu Kα.

Crystal structure
a = 5.2146 Å, b = 5.2146 Å, c = 46.6707 Å
α = 90.00°, β = 90.00°, γ = 120.00°
Space group R-3m (No. 166, hexagonal axes)
Asymmetric unit:
1 Tb 0.0000 0.0000 0.0000
2 Tb 0.0000 0.0000 0.1482
3 Tb 0.0000 0.0000 0.3013
4 Er 0.0000 0.0000 0.0736
5 Er 0.0000 0.0000 0.2253
6 Tl 0.0000 0.0000 0.3835

Principal peaks in the range 2θ = 15–90°, low angle first:
2theta, I/Imax
31.84, 100
33.41, 16
34.40, 93
47.57, 33
55.05, 14
60.01, 33
61.61, 18
81.37, 14